Starting from a DFT-relaxed cell (GGA-PBE, Alexandria), the X-ray powder pattern of Li6PmCu2 was calculated for Cu Ka.
No peak broadening, texture or thermal motion is included.

Main lines, in order of falling intensity (2θ from 10° to 80°):
- hkl 1 1 1, 2θ = 33.1°, I = 100
- hkl 1 0 3, 2θ = 33.5°, I = 81
- hkl 1 0 4, 2θ = 40.2°, I = 77
- hkl 1 1 0, 2θ = 32.1°, I = 69
- hkl 0 0 2, 2θ = 16.3°, I = 57
- hkl 1 1 2, 2θ = 36.2°, I = 50
- hkl 1 0 5, 2θ = 47.6°, I = 44
- hkl 1 0 2, 2θ = 27.9°, I = 43
- hkl 2 1 4, 2θ = 62.7°, I = 40
- hkl 2 0 1, 2θ = 46.8°, I = 35

Structural model:
Lattice parameters (Å, degrees): 3.945 3.945 10.903 90.00 90.00 90.00
Space group P4/mmm (No. 123)
One atom of each set of equivalent atoms:
1 Li 0.000 0.000 0.000
2 Li 0.000 0.500 0.221
3 Li 0.500 0.500 0.000
4 Pm 0.000 0.000 0.500
5 Cu 0.500 0.500 0.386

Starting from a DFT-relaxed cell (GGA-PBE, Alexandria), the X-ray powder pattern of Ca4Sb8Pd3 was calculated for Cu Ka.
No peak broadening, texture or thermal motion is included.

Main lines, in order of falling intensity (2θ from 10° to 80°):
- hkl 1 1 4, 2θ = 33.8°, I = 100
- hkl 2 0 0, 2θ = 40.1°, I = 53
- hkl 1 1 8, 2θ = 47.3°, I = 34
- hkl 1 0 4, 2θ = 27.1°, I = 30
- hkl 3 1 4, 2θ = 68.8°, I = 24
- hkl 1 1 2, 2θ = 29.6°, I = 23
- hkl 0 0 4, 2θ = 18.4°, I = 23
- hkl 2 2 0, 2θ = 58.0°, I = 17
- hkl 3 1 8, 2θ = 78.0°, I = 15
- hkl 1 0 2, 2θ = 21.8°, I = 14

Structural model:
Lattice parameters (Å, degrees): 4.496 4.496 19.290 90.00 90.00 90.00
Space group P-4m2 (No. 115)
One atom of each set of equivalent atoms:
1 Ca 0.000 0.500 0.118
2 Ca 0.000 0.500 0.625
3 Sb 0.000 0.000 0.247
4 Sb 0.000 0.500 0.421
5 Sb 0.000 0.500 0.930
6 Sb 0.500 0.500 0.247
7 Pd 0.000 0.000 0.000
8 Pd 0.000 0.000 0.500
9 Pd 0.500 0.500 0.500

Starting from a DFT-relaxed cell (GGA-PBE, Alexandria), the X-ray powder pattern of SmErGe2 was calculated for Cu Ka.
No peak broadening, texture or thermal motion is included.

Main lines, in order of falling intensity (2θ from 10° to 80°):
- hkl 1 0 2, 2θ = 31.6°, I = 100
- hkl 0 2 1, 2θ = 32.7°, I = 97
- hkl 1 1 2, 2θ = 35.3°, I = 89
- hkl 1 1 1, 2θ = 29.3°, I = 86
- hkl 1 2 1, 2θ = 39.9°, I = 81
- hkl 0 1 3, 2θ = 37.0°, I = 56
- hkl 2 0 0, 2θ = 45.5°, I = 40
- hkl 2 2 1, 2θ = 57.1°, I = 39
- hkl 0 1 4, 2θ = 48.0°, I = 31
- hkl 0 1 2, 2θ = 27.0°, I = 30

Structural model:
Lattice parameters (Å, degrees): 3.989 5.826 8.018 90.00 90.00 90.00
Space group Pmc2_1 (No. 26)
One atom of each set of equivalent atoms:
1 Sm 0.000 0.132 0.000
2 Er 0.500 0.369 0.638
3 Ge 0.000 0.394 0.360
4 Ge 0.500 0.108 0.279

Starting from a DFT-relaxed cell (GGA-PBE, Alexandria), the X-ray powder pattern of Sc8Ge3SeS4 was calculated for Cu Ka.
No peak broadening, texture or thermal motion is included.

Main lines, in order of falling intensity (2θ from 10° to 80°):
- hkl 0 2 4, 2θ = 33.3°, I = 100
- hkl 2 0 8, 2θ = 47.8°, I = 34
- hkl 2 2 0, 2θ = 47.9°, I = 33
- hkl 4 0 4, 2θ = 59.6°, I = 17
- hkl 2 2 12, 2θ = 79.7°, I = 14
- hkl 2 4 4, 2θ = 79.9°, I = 14
- hkl 0 4 8, 2θ = 70.0°, I = 10
- hkl 0 0 3, 2θ = 14.2°, I = 10
- hkl 0 2 1, 2θ = 27.6°, I = 8
- hkl 0 0 12, 2θ = 59.4°, I = 6

Structural model:
Lattice parameters (Å, degrees): 7.5898 7.5898 18.6835 90.00 90.00 120.00
Space group R-3m (No. 166, hexagonal axes)
One atom of each set of equivalent atoms:
1 Sc 0.0000 0.0000 0.2490
2 Sc 0.0066 0.5033 0.2491
3 Ge 0.0000 0.5000 0.0000
4 Se 0.0000 0.0000 0.0000
5 S 0.0000 0.0000 0.5000
6 S 0.0000 0.5000 0.5000

Starting from a DFT-relaxed cell (GGA-PBE, Alexandria), the X-ray powder pattern of SmY3Fe34 was calculated for Cu Ka.
No peak broadening, texture or thermal motion is included.

Main lines, in order of falling intensity (2θ from 10° to 80°):
- hkl 3 0 2, 2θ = 42.9°, I = 100
- hkl 2 2 0, 2θ = 42.6°, I = 61
- hkl 2 2 2, 2θ = 48.2°, I = 38
- hkl 3 0 0, 2θ = 36.7°, I = 37
- hkl 2 0 3, 2θ = 41.0°, I = 35
- hkl 0 0 4, 2θ = 43.9°, I = 34
- hkl 1 1 2, 2θ = 30.2°, I = 24
- hkl 6 0 0, 2θ = 77.9°, I = 18
- hkl 2 1 3, 2θ = 46.5°, I = 16
- hkl 2 2 4, 2θ = 62.8°, I = 15

Structural model:
Lattice parameters (Å, degrees): 8.4935 8.4935 8.2460 90.00 90.00 120.00
Space group P-6m2 (No. 187)
One atom of each set of equivalent atoms:
1 Sm 0.0000 0.0000 0.0000
2 Y 0.3333 0.6667 0.0000
3 Y 0.3333 0.6667 0.5000
4 Y 0.6667 0.3333 0.5000
5 Fe 0.0000 0.0000 0.3569
6 Fe 0.0012 0.5006 0.2659
7 Fe 0.0042 0.2972 0.5000
8 Fe 0.1679 0.3358 0.2352
9 Fe 0.3341 0.1671 0.2507
10 Fe 0.3748 0.0368 0.0000
11 Fe 0.6667 0.3333 0.1436

Starting from a DFT-relaxed cell (GGA-PBE, Alexandria), the X-ray powder pattern of Pm8In2Ir3 was calculated for Cu Ka.
No peak broadening, texture or thermal motion is included.

Main lines, in order of falling intensity (2θ from 10° to 80°):
- hkl 3 1 -1, 2θ = 34.6°, I = 100
- hkl 2 0 2, 2θ = 35.4°, I = 25
- hkl 0 2 0, 2θ = 35.5°, I = 25
- hkl 1 0 -1, 2θ = 11.8°, I = 23
- hkl 2 2 2, 2θ = 51.0°, I = 18
- hkl 3 3 -1, 2θ = 63.3°, I = 18
- hkl 5 1 1, 2θ = 63.0°, I = 18
- hkl 1 1 -1, 2θ = 21.2°, I = 17
- hkl 2 1 -4, 2θ = 44.2°, I = 11
- hkl 6 2 -2, 2θ = 73.1°, I = 9

Structural model:
Lattice parameters (Å, degrees): 9.052 5.051 9.059 90.00 111.80 90.00
Space group P2/m (No. 10)
One atom of each set of equivalent atoms:
1 Pm 0.111 0.000 0.389
2 Pm 0.142 0.500 0.866
3 Pm 0.366 0.500 0.642
4 Pm 0.387 0.000 0.113
5 In 0.245 0.500 0.256
6 Ir 0.245 0.000 0.745
7 Ir 0.500 0.500 0.000

Starting from a DFT-relaxed cell (GGA-PBE, Alexandria), the X-ray powder pattern of Tl3ZnBr was calculated for Cu Ka.
No peak broadening, texture or thermal motion is included.

Main lines, in order of falling intensity (2θ from 10° to 80°):
- hkl 1 1 1, 2θ = 28.2°, I = 100
- hkl 2 0 0, 2θ = 32.7°, I = 79
- hkl 2 2 0, 2θ = 46.9°, I = 58
- hkl 3 1 1, 2θ = 55.6°, I = 47
- hkl 1 0 0, 2θ = 16.2°, I = 26
- hkl 4 2 0, 2θ = 78.0°, I = 26
- hkl 2 2 2, 2θ = 58.3°, I = 20
- hkl 3 3 1, 2θ = 75.7°, I = 19
- hkl 2 1 0, 2θ = 36.7°, I = 15
- hkl 4 0 0, 2θ = 68.5°, I = 9

Structural model:
Lattice parameters (Å, degrees): 5.479 5.479 5.479 90.00 90.00 90.00
Space group Pm-3m (No. 221)
One atom of each set of equivalent atoms:
1 Tl 0.000 0.000 0.500
2 Zn 0.000 0.000 0.000
3 Br 0.500 0.500 0.500

Starting from a DFT-relaxed cell (GGA-PBE, Alexandria), the X-ray powder pattern of UTcSb was calculated for Cu Ka.
No peak broadening, texture or thermal motion is included.

Main lines, in order of falling intensity (2θ from 10° to 80°):
- hkl 1 1 2, 2θ = 39.4°, I = 100
- hkl 2 0 0, 2θ = 38.2°, I = 55
- hkl 1 1 0, 2θ = 26.8°, I = 41
- hkl 3 1 2, 2θ = 69.9°, I = 38
- hkl 1 0 1, 2θ = 23.6°, I = 20
- hkl 2 2 0, 2θ = 55.2°, I = 19
- hkl 2 0 4, 2θ = 72.3°, I = 18
- hkl 0 0 2, 2θ = 28.4°, I = 18
- hkl 2 0 2, 2θ = 48.3°, I = 17
- hkl 1 0 0, 2θ = 18.8°, I = 17

Structural model:
Lattice parameters (Å, degrees): 4.708 4.708 6.281 90.00 90.00 90.00
Space group P4_2/mmc (No. 131)
One atom of each set of equivalent atoms:
1 U 0.000 0.500 0.000
2 Tc 0.000 0.000 0.250
3 Sb 0.000 0.500 0.500